Calculated powder diffractogram of TbY3Ni for copper Kα, from DFT lattice parameters and positions (PBE).
Kinematic intensities with the Lorentz-polarization factor, no thermal factor.

Main lines, most intense first (5 to 70 degrees two-theta):
30.64°, I 100, (2 0 3); 33.46°, I 87, (3 1 0); 32.62°, I 42, (3 1 -1); 34.90°, I 41, (2 0 -5); 35.43°, I 33, (1 1 3); 33.78°, I 33, (4 0 1)

Atomic structure:
```
data_TbY3Ni
_chemical_formula_sum 'Tb4 Y12 Ni4'
_cell_length_a 12.392
_cell_length_b 3.675
_cell_length_c 12.904
_cell_angle_alpha 90.00
_cell_angle_beta 109.19
_cell_angle_gamma 90.00
_symmetry_space_group_name_H-M 'C 1 m 1'
_symmetry_Int_Tables_number 8
loop_
_symmetry_equiv_pos_as_xyz
'x,y,z'
'x,-y,z'
'x+1/2,y+1/2,z'
'x+1/2,-y+1/2,z'
loop_
_atom_site_label
_atom_site_fract_x
_atom_site_fract_y
_atom_site_fract_z
Tb1 0.000 0.000 0.000
Tb2 0.129 0.000 0.280
Y1 0.114 0.000 0.580
Y2 0.244 0.000 0.861
Y3 0.267 0.500 0.110
Y4 0.318 0.500 0.515
Y5 0.425 0.000 0.344
Y6 0.475 0.000 0.751
Ni1 0.283 0.500 0.718
Ni2 0.463 0.000 0.141
```

Calculated powder diffractogram of NaSnAs2O8 for copper Kα, from DFT lattice parameters and positions (PBE).
Kinematic intensities with the Lorentz-polarization factor, no thermal factor.

Main lines, most intense first (5 to 70 degrees two-theta):
25.16°, I 100, (1 0 4); 10.97°, I 41, (0 0 3); 35.64°, I 38, (1 1 0); 36.13°, I 27, (0 1 8); 20.69°, I 22, (1 0 1); 58.63°, I 20, (1 1 12)

Atomic structure:
```
data_NaSnAs2O8
_chemical_formula_sum 'Na3 Sn3 As6 O24'
_cell_length_a 5.0379
_cell_length_b 5.0379
_cell_length_c 24.2052
_cell_angle_alpha 90.00
_cell_angle_beta 90.00
_cell_angle_gamma 120.00
_symmetry_space_group_name_H-M 'R 3 2'
_symmetry_Int_Tables_number 155
_symmetry_space_group_name_Hall 'R 3 2"'
loop_
_atom_site_label
_atom_site_fract_x
_atom_site_fract_y
_atom_site_fract_z
Na1 0.0000 0.0000 0.0000
Sn1 0.0000 0.0000 0.5000
As1 0.0000 0.0000 0.2447
O1 0.0000 0.0000 0.3150
O2 0.0026 0.3574 0.1116
```

Calculated powder diffractogram of Nd2Ni17 for copper Kα, from DFT lattice parameters and positions (PBE).
Kinematic intensities with the Lorentz-polarization factor, no thermal factor.

Main lines, most intense first (5 to 70 degrees two-theta):
43.66°, I 100, (3 0 2); 43.25°, I 66, (2 2 0); 41.80°, I 40, (2 0 3); 37.22°, I 39, (3 0 0); 30.77°, I 33, (1 1 2); 44.89°, I 33, (0 0 4)

Atomic structure:
```
data_Nd2Ni17
_chemical_formula_sum 'Nd4 Ni34'
_cell_length_a 8.3678
_cell_length_b 8.3678
_cell_length_c 8.0767
_cell_angle_alpha 90.00
_cell_angle_beta 90.00
_cell_angle_gamma 120.00
_symmetry_space_group_name_H-M 'P 63/m m c'
_symmetry_Int_Tables_number 194
_symmetry_space_group_name_Hall '-P 6c 2c'
loop_
_atom_site_label
_atom_site_fract_x
_atom_site_fract_y
_atom_site_fract_z
Nd1 0.0000 0.0000 0.2500
Nd2 0.3333 0.6667 0.2500
Ni1 0.0000 0.5000 0.0000
Ni2 0.0466 0.3752 0.7500
Ni3 0.1666 0.3331 0.0193
Ni4 0.3333 0.6667 0.6035
```

Copy entry 3 word for word.
Calculated powder diffractogram of Nd2Ni17 for copper Kα, from DFT lattice parameters and positions (PBE).
Kinematic intensities with the Lorentz-polarization factor, no thermal factor.

Main lines, most intense first (5 to 70 degrees two-theta):
43.66°, I 100, (3 0 2); 43.25°, I 66, (2 2 0); 41.80°, I 40, (2 0 3); 37.22°, I 39, (3 0 0); 30.77°, I 33, (1 1 2); 44.89°, I 33, (0 0 4)

Atomic structure:
```
data_Nd2Ni17
_chemical_formula_sum 'Nd4 Ni34'
_cell_length_a 8.3678
_cell_length_b 8.3678
_cell_length_c 8.0767
_cell_angle_alpha 90.00
_cell_angle_beta 90.00
_cell_angle_gamma 120.00
_symmetry_space_group_name_H-M 'P 63/m m c'
_symmetry_Int_Tables_number 194
_symmetry_space_group_name_Hall '-P 6c 2c'
loop_
_atom_site_label
_atom_site_fract_x
_atom_site_fract_y
_atom_site_fract_z
Nd1 0.0000 0.0000 0.2500
Nd2 0.3333 0.6667 0.2500
Ni1 0.0000 0.5000 0.0000
Ni2 0.0466 0.3752 0.7500
Ni3 0.1666 0.3331 0.0193
Ni4 0.3333 0.6667 0.6035
```

Q: Number 2 is which compound?
A: NaSnAs2O8

Please write out number 3 again, unchanged.
Calculated powder diffractogram of Nd2Ni17 for copper Kα, from DFT lattice parameters and positions (PBE).
Kinematic intensities with the Lorentz-polarization factor, no thermal factor.

Main lines, most intense first (5 to 70 degrees two-theta):
43.66°, I 100, (3 0 2); 43.25°, I 66, (2 2 0); 41.80°, I 40, (2 0 3); 37.22°, I 39, (3 0 0); 30.77°, I 33, (1 1 2); 44.89°, I 33, (0 0 4)

Atomic structure:
```
data_Nd2Ni17
_chemical_formula_sum 'Nd4 Ni34'
_cell_length_a 8.3678
_cell_length_b 8.3678
_cell_length_c 8.0767
_cell_angle_alpha 90.00
_cell_angle_beta 90.00
_cell_angle_gamma 120.00
_symmetry_space_group_name_H-M 'P 63/m m c'
_symmetry_Int_Tables_number 194
_symmetry_space_group_name_Hall '-P 6c 2c'
loop_
_atom_site_label
_atom_site_fract_x
_atom_site_fract_y
_atom_site_fract_z
Nd1 0.0000 0.0000 0.2500
Nd2 0.3333 0.6667 0.2500
Ni1 0.0000 0.5000 0.0000
Ni2 0.0466 0.3752 0.7500
Ni3 0.1666 0.3331 0.0193
Ni4 0.3333 0.6667 0.6035
```